[1]
Y3Ge: computed PXRD pattern (Cu Kα, 1.54184 Å), based on a GGA-PBE-relaxed structure.
Intensities are scaled so that the largest is 100.

Structural model:
Lattice parameters (Å, degrees): 4.531 4.531 10.394 90.00 90.00 90.00
Space group I4/mmm (No. 139)
One atom of each set of equivalent atoms:
Y 0.000 0.000 0.000 (multiplicity 2)
Y 0.000 0.500 0.250 (multiplicity 4)
Ge 0.000 0.000 0.500 (multiplicity 2)

Principal peaks in the range 10 to 90 degrees two-theta, most intense first:
two_theta, intensity, (hkl)
32.8, 100, 1 1 2
39.8, 29, 2 0 0
53.7, 24, 2 0 4
67.9, 23, 3 1 2
34.5, 22, 0 0 4
60.8, 16, 1 1 6
88.6, 11, 3 1 6
68.9, 11, 2 2 4
57.5, 10, 2 2 0
86.3, 6, 2 0 8
85.8, 3, 4 0 0
72.8, 2, 0 0 8

=====

[2]
YGe3: computed PXRD pattern (Cu Kα, 1.54184 Å), based on a GGA-PBE-relaxed structure.
Intensities are scaled so that the largest is 100.

Structural model:
Lattice parameters (Å, degrees): 4.053 21.031 3.942 90.00 90.00 90.00
Space group Cmcm (No. 63)
One atom of each set of equivalent atoms:
Y 0.000 0.082 0.250 (multiplicity 4)
Ge 0.000 0.191 0.750 (multiplicity 4)
Ge 0.000 0.311 0.750 (multiplicity 4)
Ge 0.000 0.461 0.250 (multiplicity 4)

Principal peaks in the range 10 to 90 degrees two-theta, most intense first:
two_theta, intensity, (hkl)
34.2, 100, 1 3 1
38.4, 43, 1 5 1
34.1, 29, 0 8 0
44.7, 27, 2 0 0
46.0, 24, 0 0 2
66.1, 16, 2 0 2
32.0, 16, 1 1 1
57.4, 15, 2 8 0
30.6, 15, 1 5 0
41.3, 12, 0 8 1
58.5, 12, 0 8 2
76.5, 10, 2 8 2

=====

[3]
Y3Ge: computed PXRD pattern (Cu Kα, 1.54184 Å), based on a GGA-PBE-relaxed structure.
Intensities are scaled so that the largest is 100.

Structural model:
Lattice parameters (Å, degrees): 6.7254 6.7254 5.3197 90.00 90.00 120.00
Space group P6_3/mmc (No. 194)
One atom of each set of equivalent atoms:
Y 0.1739 0.3479 0.2500 (multiplicity 6)
Ge 0.3333 0.6667 0.7500 (multiplicity 2)

Principal peaks in the range 10 to 90 degrees two-theta, most intense first:
two_theta, intensity, (hkl)
35.1, 100, 2 0 1
33.7, 25, 0 0 2
30.7, 24, 2 0 0
65.7, 20, 2 2 2
61.2, 19, 2 0 3
54.6, 18, 2 2 0
46.2, 15, 2 0 2
66.6, 14, 4 0 1
86.5, 7, 4 0 3
74.3, 3, 4 0 2
79.2, 3, 2 0 4
70.9, 3, 0 0 4

=====

[4]
Y5Ge3: computed PXRD pattern (Cu Kα, 1.54184 Å), based on a GGA-PBE-relaxed structure.
Intensities are scaled so that the largest is 100.

Structural model:
Lattice parameters (Å, degrees): 8.5301 8.5301 6.4409 90.00 90.00 120.00
Space group P6_3/mcm (No. 193)
One atom of each set of equivalent atoms:
Y 0.0000 0.2423 0.2500 (multiplicity 6)
Y 0.3333 0.6667 0.0000 (multiplicity 4)
Ge 0.0000 0.3938 0.7500 (multiplicity 6)

Principal peaks in the range 10 to 90 degrees two-theta, most intense first:
two_theta, intensity, (hkl)
35.0, 100, 2 1 1
34.9, 83, 1 1 2
36.5, 41, 3 0 0
32.1, 31, 2 1 0
53.9, 28, 2 1 3
30.3, 20, 1 0 2
57.2, 20, 0 0 4
27.7, 19, 0 0 2
51.4, 19, 2 2 2
70.1, 16, 5 0 2
67.1, 14, 4 2 0
57.5, 13, 4 0 2

=====

[5]
Y3Ge5: computed PXRD pattern (Cu Kα, 1.54184 Å), based on a GGA-PBE-relaxed structure.
Intensities are scaled so that the largest is 100.

Structural model:
Lattice parameters (Å, degrees): 5.797 17.435 13.809 90.00 90.00 90.00
Space group Fdd2 (No. 43)
One atom of each set of equivalent atoms:
Y 0.000 0.000 0.000 (multiplicity 8)
Y 0.015 0.168 0.508 (multiplicity 16)
Ge 0.000 0.000 0.449 (multiplicity 8)
Ge 0.001 0.163 0.087 (multiplicity 16)
Ge 0.062 0.186 0.904 (multiplicity 16)

Principal peaks in the range 10 to 90 degrees two-theta, most intense first:
two_theta, intensity, (hkl)
33.5, 100, 0 6 2
39.3, 49, 1 3 5
44.1, 46, 2 6 0
29.2, 33, 1 3 3
51.4, 17, 1 3 7
70.0, 16, 1 9 7
60.5, 11, 1 9 5
74.3, 10, 2 12 2
60.6, 10, 3 3 5
33.1, 8, 0 4 4
74.4, 8, 4 6 2
36.4, 8, 1 1 5

=====

[6]
YGe2: computed PXRD pattern (Cu Kα, 1.54184 Å), based on a GGA-PBE-relaxed structure.
Intensities are scaled so that the largest is 100.

Structural model:
Lattice parameters (Å, degrees): 3.995 3.995 16.652 90.00 90.00 90.00
Space group I4_1/amd (No. 141, origin choice 2)
One atom of each set of equivalent atoms:
Y 0.000 0.250 0.375 (multiplicity 4)
Ge 0.000 0.250 0.797 (multiplicity 8)

Principal peaks in the range 10 to 90 degrees two-theta, most intense first:
two_theta, intensity, (hkl)
33.5, 100, 1 1 2
35.1, 62, 1 0 5
44.3, 41, 1 0 7
45.4, 40, 2 0 0
58.6, 27, 2 1 5
65.3, 25, 2 1 7
76.2, 17, 3 1 2
27.5, 16, 1 0 3
66.2, 13, 2 2 0
85.1, 11, 2 0 12
89.4, 9, 1 1 14
22.9, 7, 1 0 1

=====

[7]
YZnGe: computed PXRD pattern (Cu Kα, 1.54184 Å), based on a GGA-PBE-relaxed structure.
Intensities are scaled so that the largest is 100.

Structural model:
Lattice parameters (Å, degrees): 4.2429 4.2429 15.7947 90.00 90.00 120.00
Space group P6_3/mmc (No. 194)
One atom of each set of equivalent atoms:
Y 0.0000 0.0000 0.0000 (multiplicity 2)
Y 0.0000 0.0000 0.2500 (multiplicity 2)
Zn 0.3333 0.6667 0.1473 (multiplicity 4)
Ge 0.3333 0.6667 0.6136 (multiplicity 4)

Principal peaks in the range 10 to 90 degrees two-theta, most intense first:
two_theta, intensity, (hkl)
33.3, 100, 1 0 4
42.6, 57, 1 1 0
55.1, 23, 2 0 4
72.1, 20, 2 1 4
64.5, 19, 1 1 8
46.0, 9, 0 0 8
78.0, 9, 3 0 0
47.3, 8, 1 0 7
29.6, 6, 1 0 3
70.4, 5, 1 0 11
76.9, 4, 1 0 12
37.5, 3, 1 0 5

=====

[8]
Y4Zn5Ge6: computed PXRD pattern (Cu Kα, 1.54184 Å), based on a GGA-PBE-relaxed structure.
Intensities are scaled so that the largest is 100.

Structural model:
Lattice parameters (Å, degrees): 4.243 18.724 15.349 90.00 90.00 90.00
Space group Cmc2_1 (No. 36)
One atom of each set of equivalent atoms:
Y 0.000 0.018 0.000 (multiplicity 4)
Y 0.000 0.033 0.263 (multiplicity 4)
Y 0.000 0.168 0.804 (multiplicity 4)
Y 0.000 0.175 0.445 (multiplicity 4)
Zn 0.000 0.152 0.127 (multiplicity 4)
Zn 0.000 0.301 0.125 (multiplicity 4)
Zn 0.000 0.345 0.773 (multiplicity 4)
Zn 0.000 0.350 0.481 (multiplicity 4)
Zn 0.000 0.434 0.184 (multiplicity 4)
Ge 0.000 0.113 0.618 (multiplicity 4)
Ge 0.000 0.222 0.987 (multiplicity 4)
Ge 0.000 0.228 0.265 (multiplicity 4)
Ge 0.000 0.431 0.907 (multiplicity 4)
Ge 0.000 0.433 0.630 (multiplicity 4)
Ge 0.000 0.440 0.354 (multiplicity 4)

Principal peaks in the range 10 to 90 degrees two-theta, most intense first:
two_theta, intensity, (hkl)
36.5, 100, 1 5 3
42.6, 54, 2 0 0
31.8, 47, 1 5 0
46.6, 29, 1 7 4
32.4, 27, 1 5 1
34.6, 24, 1 3 4
39.8, 24, 1 7 0
49.0, 22, 1 3 7
35.1, 21, 0 0 6
74.0, 17, 3 5 3
34.0, 16, 1 5 2
30.1, 14, 0 4 4

=====

[9]
Zn3Ge: computed PXRD pattern (Cu Kα, 1.54184 Å), based on a GGA-PBE-relaxed structure.
Intensities are scaled so that the largest is 100.

Structural model:
Lattice parameters (Å, degrees): 3.988 3.988 8.178 90.00 90.00 90.00
Space group I4/mmm (No. 139)
One atom of each set of equivalent atoms:
Zn 0.000 0.000 0.000 (multiplicity 2)
Zn 0.000 0.500 0.250 (multiplicity 4)
Ge 0.000 0.000 0.500 (multiplicity 2)

Principal peaks in the range 10 to 90 degrees two-theta, most intense first:
two_theta, intensity, (hkl)
38.8, 100, 1 1 2
45.5, 31, 2 0 0
79.6, 22, 3 1 2
65.4, 20, 2 0 4
44.3, 17, 0 0 4
77.8, 12, 1 1 6
83.2, 10, 2 2 4
66.3, 10, 2 2 0

=====

[10]
ZrGe: computed PXRD pattern (Cu Kα, 1.54184 Å), based on a GGA-PBE-relaxed structure.
Intensities are scaled so that the largest is 100.

Structural model:
Lattice parameters (Å, degrees): 7.121 3.935 5.437 90.00 90.00 90.00
Space group Pnma (No. 62)
One atom of each set of equivalent atoms:
Zr 0.176 0.250 0.131 (multiplicity 4)
Ge 0.049 0.250 0.652 (multiplicity 4)

Principal peaks in the range 10 to 90 degrees two-theta, most intense first:
two_theta, intensity, (hkl)
34.0, 100, 2 1 0
42.4, 92, 1 1 2
37.9, 89, 2 1 1
35.3, 70, 1 0 2
46.1, 43, 0 2 0
30.7, 36, 1 1 1
59.4, 34, 1 2 2
41.5, 32, 3 0 1
54.2, 28, 4 0 1
73.9, 22, 4 2 1
63.8, 17, 3 2 1
79.9, 15, 2 3 1

=====

[11]
Zr3Ge: computed PXRD pattern (Cu Kα, 1.54184 Å), based on a GGA-PBE-relaxed structure.
Intensities are scaled so that the largest is 100.

Structural model:
Lattice parameters (Å, degrees): 11.138 11.138 5.485 90.00 90.00 90.00
Space group P4_2/n (No. 86, origin choice 2)
One atom of each set of equivalent atoms:
Zr 0.034 0.570 0.243 (multiplicity 8)
Zr 0.110 0.223 0.029 (multiplicity 8)
Zr 0.144 0.668 0.715 (multiplicity 8)
Ge 0.046 0.208 0.537 (multiplicity 8)

Principal peaks in the range 10 to 90 degrees two-theta, most intense first:
two_theta, intensity, (hkl)
33.3, 100, 2 3 1
37.1, 93, 4 1 1
34.6, 72, 1 1 2
36.1, 58, 2 4 0
34.2, 53, 3 3 0
41.7, 41, 1 3 2
40.1, 40, 2 2 2
41.3, 38, 5 1 0
58.6, 31, 5 5 0
61.2, 22, 4 1 3
68.7, 22, 1 7 2
39.7, 18, 4 2 1

=====

[12]
ZrGe2: computed PXRD pattern (Cu Kα, 1.54184 Å), based on a GGA-PBE-relaxed structure.
Intensities are scaled so that the largest is 100.

Structural model:
Lattice parameters (Å, degrees): 3.849 15.171 3.817 90.00 90.00 90.00
Space group Cmcm (No. 63)
One atom of each set of equivalent atoms:
Zr 0.000 0.104 0.250 (multiplicity 4)
Ge 0.000 0.250 0.750 (multiplicity 4)
Ge 0.000 0.441 0.250 (multiplicity 4)

Principal peaks in the range 10 to 90 degrees two-theta, most intense first:
two_theta, intensity, (hkl)
37.7, 100, 1 3 1
35.5, 19, 0 6 0
47.2, 14, 2 0 0
47.7, 14, 0 0 2
81.4, 10, 3 3 1
42.9, 10, 0 6 1
82.0, 10, 1 3 3
69.4, 9, 2 0 2
29.2, 8, 1 3 0
60.5, 8, 2 6 0
60.8, 8, 0 6 2
79.9, 7, 0 12 1